Entry 1:
The following is a simulated powder diffraction line list of Li6AgPd3. It was derived from a DFT-relaxed cell (GGA-PBE, Alexandria), using Cu Kα (weighted mean of Kα1 and Kα2).
Neutral-atom scattering factors, no anomalous dispersion.

Peak list (8 most intense, 2θ = 10–80°, sorted by position)
| 2θ (°) | d (Å) | I (rel.) |
| --- | --- | --- |
| 26.33 | 3.384 | 73 |
| 30.55 | 2.926 | 100 |
| 40.69 | 2.218 | 57 |
| 40.85 | 2.209 | 56 |
| 43.50 | 2.080 | 25 |
| 44.00 | 2.058 | 22 |
| 51.57 | 1.772 | 23 |
| 63.61 | 1.463 | 25 |

Structure:
abc: 7.9404 4.1610 8.8832
angles: 90.00 99.13 90.00
Element x y z (fractional)
Li 0.0373 0.2500 0.4004
Li 0.1281 0.7500 0.1934
Li 0.2329 0.2500 0.9828
Li 0.3302 0.7500 0.7867
Li 0.3390 0.2500 0.2972
Li 0.4400 0.2500 0.5950
Li 0.5600 0.7500 0.4050
Li 0.6610 0.7500 0.7028
Li 0.6698 0.2500 0.2133
Li 0.7671 0.7500 0.0172
Li 0.8719 0.2500 0.8066
Li 0.9627 0.7500 0.5996
Ag 0.4446 0.7500 0.0994
Ag 0.5554 0.2500 0.9006
Pd 0.0492 0.7500 0.8987
Pd 0.1492 0.2500 0.6901
Pd 0.2504 0.7500 0.4864
Pd 0.7496 0.2500 0.5136
Pd 0.8508 0.7500 0.3099
Pd 0.9508 0.2500 0.1013

Entry 2:
The following is a simulated powder diffraction line list of K3RuPt. It was derived from a DFT-relaxed cell (GGA-PBE, Alexandria), using Cu Kα (weighted mean of Kα1 and Kα2).
Neutral-atom scattering factors, no anomalous dispersion.

Peak list (8 most intense, 2θ = 10–80°, sorted by position)
| 2θ (°) | d (Å) | I (rel.) |
| --- | --- | --- |
| 14.50 | 6.109 | 28 |
| 20.56 | 4.319 | 100 |
| 29.24 | 3.054 | 58 |
| 36.01 | 2.494 | 49 |
| 41.83 | 2.160 | 43 |
| 47.04 | 1.932 | 24 |
| 56.36 | 1.633 | 28 |
| 68.72 | 1.366 | 19 |

Structure:
abc: 6.1085 6.1085 6.1085
angles: 90.00 90.00 90.00
Element x y z (fractional)
K 0.0000 0.0000 0.5000
K 0.0000 0.5000 0.0000
K 0.5000 0.0000 0.0000
Ru 0.5000 0.5000 0.5000
Pt 0.0000 0.0000 0.0000

Entry 3:
The following is a simulated powder diffraction line list of Pm3Ga8Ru3. It was derived from a DFT-relaxed cell (GGA-PBE, Alexandria), using Cu Kα (weighted mean of Kα1 and Kα2).
Neutral-atom scattering factors, no anomalous dispersion.

Peak list (8 most intense, 2θ = 10–80°, sorted by position)
| 2θ (°) | d (Å) | I (rel.) |
| --- | --- | --- |
| 29.77 | 3.001 | 21 |
| 34.51 | 2.599 | 33 |
| 34.63 | 2.590 | 21 |
| 35.03 | 2.562 | 100 |
| 42.40 | 2.132 | 35 |
| 42.81 | 2.113 | 18 |
| 45.14 | 2.009 | 17 |
| 45.53 | 1.992 | 18 |

Structure:
abc: 8.2999 8.2999 8.2999
angles: 150.23 107.34 80.44
Element x y z (fractional)
Pm 0.0000 0.0000 0.0000
Pm 0.3304 0.3304 0.0000
Pm 0.6696 0.6696 0.0000
Ga 0.0337 0.6699 0.3639
Ga 0.1677 0.8820 0.2857
Ga 0.3060 0.6699 0.6361
Ga 0.4036 0.1180 0.2857
Ga 0.5964 0.8820 0.7143
Ga 0.6940 0.3301 0.3639
Ga 0.8323 0.1180 0.7143
Ga 0.9663 0.3301 0.6361
Ru 0.2722 0.5000 0.7722
Ru 0.5000 0.0000 0.5000
Ru 0.7278 0.5000 0.2278